# Sr2Cu3
Theoretical powder diffractogram, a wavelength of 1.5418 Å. Input: a crystal structure in Alexandria, relaxed with PBE.
No peak broadening, texture or thermal motion is included.

Largest 6 diffraction maxima, by angle, 2θ = 10–90°:
2theta  d (Å)  intensity
31.0  2.888  100.0
31.1  2.873  72.8
33.8  2.654  43.2
39.5  2.283  34.3
41.8  2.160  34.0
42.0  2.153  33.7

Cell lengths 13.637, 13.637, 4.306 Å; angles 90.00, 90.00, 161.77 degrees
Positions (direct):
1 Sr 0.068 0.932 0.750
2 Sr 0.200 0.800 0.250
3 Sr 0.800 0.200 0.750
4 Sr 0.932 0.068 0.250
5 Cu 0.338 0.662 0.250
6 Cu 0.385 0.615 0.750
7 Cu 0.477 0.523 0.750
8 Cu 0.523 0.477 0.250
9 Cu 0.615 0.385 0.250
10 Cu 0.662 0.338 0.750

# SrCu3Te3
Theoretical powder diffractogram, a wavelength of 1.5418 Å. Input: a crystal structure in Alexandria, relaxed with PBE.
No peak broadening, texture or thermal motion is included.

Largest 6 diffraction maxima, by angle, 2θ = 10–90°:
2theta  d (Å)  intensity
17.3  5.140  27.1
24.5  3.635  42.3
30.1  2.968  100.0
43.1  2.099  37.5
46.8  1.943  58.1
50.2  1.817  32.9

Cell lengths 7.270, 7.270, 7.270 Å; angles 90.00, 90.00, 90.00 degrees
Positions (direct):
1 Sr 0.000 0.000 0.000
2 Sr 0.500 0.500 0.500
3 Cu 0.000 0.250 0.500
4 Cu 0.000 0.750 0.500
5 Cu 0.250 0.500 0.000
6 Cu 0.500 0.000 0.250
7 Cu 0.500 0.000 0.750
8 Cu 0.750 0.500 0.000
9 Te 0.000 0.500 0.250
10 Te 0.000 0.500 0.750
11 Te 0.250 0.000 0.500
12 Te 0.500 0.250 0.000
13 Te 0.500 0.750 0.000
14 Te 0.750 0.000 0.500

# SrCuTe2
Theoretical powder diffractogram, a wavelength of 1.5418 Å. Input: a crystal structure in Alexandria, relaxed with PBE.
No peak broadening, texture or thermal motion is included.

Largest 6 diffraction maxima, by angle, 2θ = 10–90°:
2theta  d (Å)  intensity
25.8  3.447  35.1
28.8  3.100  23.4
32.3  2.773  22.7
32.5  2.756  100.0
39.2  2.296  52.3
66.9  1.399  23.7

Cell lengths 4.591, 4.591, 10.435 Å; angles 90.00, 90.00, 90.00 degrees
Positions (direct):
1 Sr 0.250 0.250 0.238
2 Sr 0.750 0.750 0.762
3 Cu 0.250 0.750 0.500
4 Cu 0.750 0.250 0.500
5 Te 0.250 0.250 0.641
6 Te 0.250 0.750 0.000
7 Te 0.750 0.250 0.000
8 Te 0.750 0.750 0.359

# SrCu2Te
Theoretical powder diffractogram, a wavelength of 1.5418 Å. Input: a crystal structure in Alexandria, relaxed with PBE.
No peak broadening, texture or thermal motion is included.

Largest 6 diffraction maxima, by angle, 2θ = 10–90°:
2theta  d (Å)  intensity
20.5  4.331  49.6
26.7  3.339  64.2
33.4  2.682  100.0
39.8  2.265  69.8
40.1  2.250  35.1
59.0  1.565  42.2

Cell lengths 4.331, 4.500, 5.244 Å; angles 90.00, 90.00, 90.00 degrees
Positions (direct):
1 Sr 0.000 0.000 0.000
2 Cu 0.500 0.500 0.229
3 Cu 0.500 0.500 0.771
4 Te 0.500 0.000 0.500